Calculated PXRD pattern
Compound: YCdSn2
Radiation: a wavelength of 1.5418 Å
Structure: a DFT-relaxed cell (PBE, Alexandria)
Intensities are scaled so that the largest is 100.

Most intense lines, 10 to 90 degrees two-theta, in order of rising 2θ:
| index | 2θ (°) | I_rel |
| --- | --- | --- |
| 1 1 1 | 33.5 | 100 |
| 2 0 0 | 37.9 | 36 |
| 0 0 2 | 40.7 | 15 |
| 2 2 0 | 54.6 | 12 |
| 2 0 2 | 56.8 | 22 |
| 3 1 1 | 65.6 | 29 |
| 1 1 3 | 69.5 | 12 |
| 2 2 2 | 70.3 | 12 |
| 4 0 0 | 80.9 | 4 |
| 0 0 4 | 88.1 | 2 |

Lattice parameters (Å, degrees): 4.7530 4.7530 4.4342 90.00 90.00 90.00
Space group P4/mmm (No. 123)
Inequivalent atoms, fractional coordinates:
1 Y 0.0000 0.0000 0.0000 (multiplicity 1)
2 Cd 0.5000 0.5000 0.0000 (multiplicity 1)
3 Sn 0.0000 0.5000 0.5000 (multiplicity 2)

---

Calculated PXRD pattern
Compound: Zn3Cd3Sn
Radiation: a wavelength of 1.5418 Å
Structure: a DFT-relaxed cell (PBE, Alexandria)
Intensities are scaled so that the largest is 100.

Most intense lines, 10 to 90 degrees two-theta, in order of rising 2θ:
| index | 2θ (°) | I_rel |
| --- | --- | --- |
| 2 0 0 | 24.0 | 42 |
| 2 1 1 | 29.5 | 100 |
| 2 2 2 | 42.2 | 25 |
| 3 2 1 | 45.8 | 60 |
| 4 0 0 | 49.1 | 29 |
| 4 2 0 | 55.4 | 17 |
| 3 3 2 | 58.4 | 14 |
| 5 2 1 | 69.4 | 17 |
| 4 4 0 | 72.0 | 18 |
| 6 1 1 | 79.7 | 17 |

Lattice parameters (Å, degrees): 7.4160 7.4160 7.4160 90.00 90.00 90.00
Space group Pm-3n (No. 223)
Inequivalent atoms, fractional coordinates:
1 Zn 0.0000 0.2500 0.5000 (multiplicity 6)
2 Cd 0.0000 0.5000 0.2500 (multiplicity 6)
3 Sn 0.0000 0.0000 0.0000 (multiplicity 2)

---

Calculated PXRD pattern
Compound: Zr12CdSn6
Radiation: a wavelength of 1.5418 Å
Structure: a DFT-relaxed cell (PBE, Alexandria)
Intensities are scaled so that the largest is 100.

Most intense lines, 10 to 90 degrees two-theta, in order of rising 2θ:
| index | 2θ (°) | I_rel |
| --- | --- | --- |
| 0 0 3 | 34.3 | 36 |
| 5 -2 1 | 34.7 | 100 |
| 2 3 2 | 40.2 | 67 |
| 5 -2 4 | 57.8 | 22 |
| 7 1 0 | 58.4 | 19 |
| 2 3 5 | 68.9 | 13 |
| 7 1 3 | 69.5 | 22 |
| 4 6 1 | 69.7 | 10 |
| 10 -4 2 | 73.2 | 9 |
| 4 6 4 | 86.7 | 6 |

Lattice parameters (Å, degrees): 13.7784 13.7784 7.8515 90.00 90.00 120.00
Space group R-3 (No. 148, hexagonal axes)
Inequivalent atoms, fractional coordinates:
1 Zr 0.0073 0.8714 0.1665 (multiplicity 18)
2 Zr 0.0610 0.4905 0.1706 (multiplicity 18)
3 Cd 0.0000 0.0000 0.5000 (multiplicity 3)
4 Sn 0.0258 0.7580 0.8382 (multiplicity 18)

---

Calculated PXRD pattern
Compound: Zr2Cd5Sn
Radiation: a wavelength of 1.5418 Å
Structure: a DFT-relaxed cell (PBE, Alexandria)
Intensities are scaled so that the largest is 100.

Most intense lines, 10 to 90 degrees two-theta, in order of rising 2θ:
| index | 2θ (°) | I_rel |
| --- | --- | --- |
| 0 4 1 | 35.2 | 100 |
| 2 1 1 | 35.9 | 3 |
| 2 4 0 | 40.5 | 32 |
| 0 0 2 | 41.5 | 16 |
| 0 8 0 | 58.6 | 9 |
| 2 4 2 | 59.4 | 20 |
| 2 8 1 | 70.2 | 21 |
| 0 4 3 | 71.6 | 12 |
| 4 0 2 | 74.3 | 5 |
| 0 8 2 | 74.4 | 5 |

Lattice parameters (Å, degrees): 6.3079 12.5988 4.3523 90.00 90.00 90.00
Space group Pbam (No. 55)
Inequivalent atoms, fractional coordinates:
1 Zr 0.2255 0.1167 0.0000 (multiplicity 4)
2 Cd 0.0000 0.5000 0.5000 (multiplicity 2)
3 Cd 0.0227 0.7455 0.5000 (multiplicity 4)
4 Cd 0.2229 0.3659 0.0000 (multiplicity 4)
5 Sn 0.0000 0.0000 0.5000 (multiplicity 2)

---

Calculated PXRD pattern
Compound: Sr6Cd5
Radiation: a wavelength of 1.5418 Å
Structure: a DFT-relaxed cell (PBE, Alexandria)
Intensities are scaled so that the largest is 100.

Most intense lines, 10 to 90 degrees two-theta, in order of rising 2θ:
| index | 2θ (°) | I_rel |
| --- | --- | --- |
| 2 0 -2 | 31.1 | 51 |
| 2 2 1 | 31.3 | 100 |
| 4 0 2 | 44.5 | 18 |
| 0 4 0 | 45.2 | 9 |
| 0 2 3 | 55.4 | 38 |
| 2 4 -2 | 55.8 | 19 |
| 4 4 2 | 65.3 | 11 |
| 10 0 -4 | 73.7 | 8 |
| 2 6 1 | 74.6 | 8 |
| 4 4 -4 | 82.5 | 6 |

Lattice parameters (Å, degrees): 18.1851 8.0320 5.7565 90.00 108.36 90.00
Space group C2/m (No. 12)
Inequivalent atoms, fractional coordinates:
1 Sr 0.0000 0.2491 0.0000 (multiplicity 4)
2 Sr 0.1660 0.2498 0.6660 (multiplicity 8)
3 Cd 0.0000 0.0000 0.5000 (multiplicity 2)
4 Cd 0.1668 0.0000 0.1665 (multiplicity 4)
5 Cd 0.1697 0.5000 0.1695 (multiplicity 4)

---

Calculated PXRD pattern
Compound: Sr7Cd6
Radiation: a wavelength of 1.5418 Å
Structure: a DFT-relaxed cell (PBE, Alexandria)
Intensities are scaled so that the largest is 100.

Most intense lines, 10 to 90 degrees two-theta, in order of rising 2θ:
| index | 2θ (°) | I_rel |
| --- | --- | --- |
| 1 1 0 | 23.5 | 69 |
| 0 2 1 | 27.3 | 47 |
| 1 1 6 | 28.6 | 100 |
| 2 0 5 | 30.4 | 44 |
| 0 2 7 | 33.3 | 38 |
| 2 0 8 | 35.0 | 29 |
| 3 0 6 | 44.6 | 29 |
| 2 2 0 | 48.0 | 48 |
| 1 1 18 | 55.9 | 21 |
| 2 2 12 | 59.3 | 17 |

Lattice parameters (Å, degrees): 7.5774 7.5774 32.8797 90.00 90.00 120.00
Space group R-3m (No. 166, hexagonal axes)
Inequivalent atoms, fractional coordinates:
1 Sr 0.0000 0.0000 0.0000 (multiplicity 3)
2 Sr 0.0083 0.5041 0.4236 (multiplicity 18)
3 Cd 0.0000 0.0000 0.1652 (multiplicity 6)
4 Cd 0.0000 0.0000 0.3377 (multiplicity 6)
5 Cd 0.0000 0.0000 0.4521 (multiplicity 6)

---

Calculated PXRD pattern
Compound: Sr6Cd23
Radiation: a wavelength of 1.5418 Å
Structure: a DFT-relaxed cell (PBE, Alexandria)
Intensities are scaled so that the largest is 100.

Most intense lines, 10 to 90 degrees two-theta, in order of rising 2θ:
| index | 2θ (°) | I_rel |
| --- | --- | --- |
| 1 1 1 | 10.5 | 10 |
| 2 0 0 | 12.2 | 15 |
| 4 2 2 | 30.1 | 11 |
| 3 3 3 | 32.0 | 37 |
| 4 4 0 | 34.9 | 100 |
| 5 3 1 | 36.6 | 24 |
| 6 2 2 | 41.2 | 12 |
| 7 5 3 | 57.8 | 11 |
| 8 4 4 | 62.6 | 20 |
| 9 3 3 | 63.7 | 15 |

Lattice parameters (Å, degrees): 14.5331 14.5331 14.5331 90.00 90.00 90.00
Space group Fm-3m (No. 225)
Inequivalent atoms, fractional coordinates:
1 Sr 0.0000 0.0000 0.2127 (multiplicity 24)
2 Cd 0.0000 0.0000 0.5000 (multiplicity 4)
3 Cd 0.0000 0.2500 0.2500 (multiplicity 24)
4 Cd 0.1226 0.1226 0.3774 (multiplicity 32)
5 Cd 0.1680 0.1680 0.1680 (multiplicity 32)

---

Calculated PXRD pattern
Compound: Sr3Cd8
Radiation: a wavelength of 1.5418 Å
Structure: a DFT-relaxed cell (PBE, Alexandria)
Intensities are scaled so that the largest is 100.

Most intense lines, 10 to 90 degrees two-theta, in order of rising 2θ:
| index | 2θ (°) | I_rel |
| --- | --- | --- |
| 1 0 1 | 21.4 | 23 |
| 1 0 7 | 29.4 | 46 |
| 1 1 4 | 30.2 | 100 |
| 0 2 0 | 36.3 | 42 |
| 0 1 11 | 36.9 | 56 |
| 1 1 10 | 40.7 | 28 |
| 2 0 0 | 43.1 | 26 |
| 1 2 7 | 47.4 | 24 |
| 2 2 0 | 57.6 | 21 |
| 2 1 11 | 58.0 | 29 |

Lattice parameters (Å, degrees): 4.1997 4.9519 30.7719 90.00 90.00 90.00
Space group Immm (No. 71)
Inequivalent atoms, fractional coordinates:
1 Sr 0.0000 0.0000 0.0000 (multiplicity 2)
2 Sr 0.0000 0.5000 0.1456 (multiplicity 4)
3 Cd 0.0000 0.0000 0.2569 (multiplicity 4)
4 Cd 0.0000 0.0000 0.4523 (multiplicity 4)
5 Cd 0.0000 0.5000 0.3112 (multiplicity 4)
6 Cd 0.0000 0.5000 0.4047 (multiplicity 4)

---

Calculated PXRD pattern
Compound: Sr2TaCd2
Radiation: a wavelength of 1.5418 Å
Structure: a DFT-relaxed cell (PBE, Alexandria)
Intensities are scaled so that the largest is 100.

Most intense lines, 10 to 90 degrees two-theta, in order of rising 2θ:
| index | 2θ (°) | I_rel |
| --- | --- | --- |
| 0 0 4 | 16.4 | 47 |
| 1 0 3 | 26.1 | 51 |
| 1 0 5 | 31.0 | 74 |
| 0 0 8 | 33.2 | 27 |
| 1 1 2 | 33.8 | 100 |
| 1 1 6 | 41.5 | 19 |
| 2 0 0 | 46.9 | 32 |
| 1 1 10 | 54.1 | 41 |
| 2 1 5 | 57.3 | 26 |
| 2 0 8 | 58.7 | 21 |

Lattice parameters (Å, degrees): 3.8716 3.8716 21.5642 90.00 90.00 90.00
Space group I4/mmm (No. 139)
Inequivalent atoms, fractional coordinates:
1 Sr 0.0000 0.0000 0.1009 (multiplicity 4)
2 Ta 0.0000 0.0000 0.5000 (multiplicity 2)
3 Cd 0.0000 0.5000 0.2500 (multiplicity 4)

---

Calculated PXRD pattern
Compound: Sr2TbCd3
Radiation: a wavelength of 1.5418 Å
Structure: a DFT-relaxed cell (PBE, Alexandria)
Intensities are scaled so that the largest is 100.

Most intense lines, 10 to 90 degrees two-theta, in order of rising 2θ:
| index | 2θ (°) | I_rel |
| --- | --- | --- |
| 0 0 1 | 11.2 | 6 |
| 2 0 0 | 32.1 | 100 |
| 1 3 3 | 41.2 | 4 |
| 0 0 4 | 45.9 | 5 |
| 2 6 0 | 46.0 | 12 |
| 3 3 2 | 57.1 | 23 |
| 1 9 2 | 57.2 | 12 |
| 2 6 4 | 67.0 | 6 |
| 4 0 0 | 67.1 | 4 |
| 4 6 0 | 76.4 | 10 |

Lattice parameters (Å, degrees): 5.5780 16.7229 7.9129 90.00 90.00 90.00
Space group Cmmm (No. 65)
Inequivalent atoms, fractional coordinates:
1 Sr 0.0000 0.0000 0.0000 (multiplicity 2)
2 Sr 0.0000 0.0000 0.5000 (multiplicity 2)
3 Sr 0.0000 0.3347 0.0000 (multiplicity 4)
4 Tb 0.0000 0.3333 0.5000 (multiplicity 4)
5 Cd 0.0000 0.1732 0.2769 (multiplicity 8)
6 Cd 0.0000 0.5000 0.2688 (multiplicity 4)

---

Calculated PXRD pattern
Compound: Sr3TbCd4
Radiation: a wavelength of 1.5418 Å
Structure: a DFT-relaxed cell (PBE, Alexandria)
Intensities are scaled so that the largest is 100.

Most intense lines, 10 to 90 degrees two-theta, in order of rising 2θ:
| index | 2θ (°) | I_rel |
| --- | --- | --- |
| 1 0 4 | 31.7 | 100 |
| 1 1 0 | 32.1 | 53 |
| 0 0 8 | 44.9 | 7 |
| 2 0 0 | 46.0 | 19 |
| 1 1 8 | 56.3 | 15 |
| 2 1 4 | 56.9 | 36 |
| 2 0 8 | 66.2 | 9 |
| 2 2 0 | 67.1 | 7 |
| 3 0 4 | 76.1 | 8 |
| 3 1 0 | 76.3 | 9 |

Lattice parameters (Å, degrees): 3.9470 3.9470 16.1397 90.00 90.00 90.00
Space group P4/mmm (No. 123)
Inequivalent atoms, fractional coordinates:
1 Sr 0.0000 0.0000 0.0000 (multiplicity 1)
2 Sr 0.0000 0.0000 0.2603 (multiplicity 2)
3 Tb 0.0000 0.0000 0.5000 (multiplicity 1)
4 Cd 0.5000 0.5000 0.1301 (multiplicity 2)
5 Cd 0.5000 0.5000 0.3950 (multiplicity 2)

---

Calculated PXRD pattern
Compound: SrThCd17
Radiation: a wavelength of 1.5418 Å
Structure: a DFT-relaxed cell (PBE, Alexandria)
Intensities are scaled so that the largest is 100.

Most intense lines, 10 to 90 degrees two-theta, in order of rising 2θ:
| index | 2θ (°) | I_rel |
| --- | --- | --- |
| 1 0 1 | 11.6 | 7 |
| 3 0 0 | 30.5 | 23 |
| 0 2 4 | 31.2 | 15 |
| 0 3 3 | 35.4 | 100 |
| 0 0 6 | 35.7 | 20 |
| 2 0 5 | 36.1 | 27 |
| 2 2 3 | 39.7 | 29 |
| 6 0 0 | 63.4 | 11 |
| 4 2 5 | 63.9 | 8 |
| 0 3 9 | 63.9 | 13 |

Lattice parameters (Å, degrees): 10.1629 10.1629 15.0933 90.00 90.00 120.00
Space group R3m (No. 160, hexagonal axes)
Inequivalent atoms, fractional coordinates:
1 Sr 0.0000 0.0000 0.0000 (multiplicity 3)
2 Th 0.0000 0.0000 0.6658 (multiplicity 3)
3 Cd 0.0000 0.0000 0.2421 (multiplicity 3)
4 Cd 0.0000 0.0000 0.4402 (multiplicity 3)
5 Cd 0.0018 0.2997 0.3352 (multiplicity 18)
6 Cd 0.0129 0.5064 0.1906 (multiplicity 9)
7 Cd 0.0213 0.5107 0.8313 (multiplicity 9)
8 Cd 0.0423 0.5212 0.4850 (multiplicity 9)